Record 1
# Y2In3Ni
Computed X-ray diffraction stick pattern, Cu Kα (λ = 1.5418 Å). Input: DFT lattice parameters and positions (GGA-PBE).
Lines closer than 0.1° are merged.

Crystal structure
```
data_Y2In3Ni
_chemical_formula_sum 'Y2 In3 Ni1'
_cell_length_a 3.6522
_cell_length_b 4.7469
_cell_length_c 8.2167
_cell_angle_alpha 90.00
_cell_angle_beta 90.00
_cell_angle_gamma 90.00
_space_group_name_H-M_alt 'P m m 2'
_space_group_IT_number 25
_space_group_name_Hall 'P 2 -2'
loop_
_atom_site_label
_atom_site_fract_x
_atom_site_fract_y
_atom_site_fract_z
Y1 0.0000 0.0000 0.0000
Y2 0.0000 0.5000 0.4450
In1 0.5000 0.0000 0.6035
In2 0.5000 0.5000 0.1440
In3 0.5000 0.5000 0.7965
Ni1 0.5000 0.0000 0.2840
```

Peak list (10 most intense, 5 to 70 degrees two-theta, sorted by position)
| 2θ (°) | I/Imax | (hkl) |
| --- | --- | --- |
| 24.37 | 13 | 1 0 0 |
| 28.74 | 7 | 0 1 2 |
| 32.81 | 100 | 1 1 1 |
| 37.92 | 73 | 0 2 0 |
| 45.59 | 16 | 1 1 3 |
| 49.94 | 12 | 2 0 0 |
| 50.99 | 25 | 1 2 2 |
| 64.38 | 29 | 2 2 0 |
| 65.27 | 20 | 1 3 1 |
| 68.49 | 10 | 0 3 3 |



Record 2
# Pd3PtRh
Computed X-ray diffraction stick pattern, Cu Kα (λ = 1.5418 Å). Input: DFT lattice parameters and positions (GGA-PBE).
Lines closer than 0.1° are merged.

Crystal structure
```
data_Pd3PtRh
_chemical_formula_sum 'Pd12 Pt4 Rh4'
_cell_length_a 4.7114
_cell_length_b 13.8760
_cell_length_c 4.6968
_cell_angle_alpha 90.00
_cell_angle_beta 90.00
_cell_angle_gamma 90.00
_space_group_name_H-M_alt 'C m c m'
_space_group_IT_number 63
_space_group_name_Hall '-C 2c 2'
loop_
_atom_site_label
_atom_site_fract_x
_atom_site_fract_y
_atom_site_fract_z
Pd1 0.0000 0.0499 0.2500
Pd2 0.0000 0.1516 0.7500
Pd3 0.0000 0.2532 0.2500
Pt1 0.0000 0.3541 0.7500
Rh1 0.0000 0.4531 0.2500
```

Peak list (10 most intense, 5 to 70 degrees two-theta, sorted by position)
| 2θ (°) | I/Imax | (hkl) |
| --- | --- | --- |
| 19.90 | 3 | 1 1 0 |
| 22.86 | 4 | 0 2 1 |
| 27.01 | 2 | 1 3 0 |
| 27.58 | 4 | 1 1 1 |
| 38.20 | 34 | 2 0 0 |
| 38.33 | 34 | 0 0 2 |
| 42.42 | 100 | 1 5 1 |
| 43.59 | 2 | 0 6 1 |
| 55.23 | 23 | 2 0 2 |
| 67.50 | 6 | 0 10 0 |



Record 3
# Th6TcSn3
Computed X-ray diffraction stick pattern, Cu Kα (λ = 1.5418 Å). Input: DFT lattice parameters and positions (GGA-PBE).
Lines closer than 0.1° are merged.

Crystal structure
```
data_Th6TcSn3
_chemical_formula_sum 'Th36 Tc6 Sn18'
_cell_length_a 11.3789
_cell_length_b 11.3789
_cell_length_c 16.1634
_cell_angle_alpha 90.00
_cell_angle_beta 90.00
_cell_angle_gamma 120.00
_space_group_name_H-M_alt 'R -3 m'
_space_group_IT_number 166
_space_group_name_Hall '-R 3 2"'
loop_
_atom_site_label
_atom_site_fract_x
_atom_site_fract_y
_atom_site_fract_z
Th1 0.1097 0.5549 0.2695
Th2 0.1114 0.2227 0.9011
Tc1 0.0000 0.0000 0.0000
Tc2 0.0000 0.0000 0.5000
Sn1 0.0761 0.5380 0.9131
```

Peak list (10 most intense, 5 to 70 degrees two-theta, sorted by position)
| 2θ (°) | I/Imax | (hkl) |
| --- | --- | --- |
| 23.80 | 7 | 1 0 4 |
| 27.15 | 21 | 3 0 0 |
| 31.91 | 100 | 0 3 3 |
| 32.70 | 9 | 2 1 4 |
| 33.25 | 19 | 0 0 6 |
| 43.44 | 14 | 3 0 6 |
| 47.97 | 25 | 3 3 0 |
| 58.58 | 8 | 0 3 9 |
| 58.77 | 16 | 6 0 3 |
| 59.62 | 14 | 3 3 6 |



Record 4
# La6PdS5
Computed X-ray diffraction stick pattern, Cu Kα (λ = 1.5418 Å). Input: DFT lattice parameters and positions (GGA-PBE).
Lines closer than 0.1° are merged.

Crystal structure
```
data_La6PdS5
_chemical_formula_sum 'La12 Pd2 S10'
_cell_length_a 7.2525
_cell_length_b 12.5427
_cell_length_c 7.2446
_cell_angle_alpha 90.00
_cell_angle_beta 109.49
_cell_angle_gamma 90.00
_space_group_name_H-M_alt 'C 1 2/m 1'
_space_group_IT_number 12
_space_group_name_Hall '-C 2y'
loop_
_atom_site_label
_atom_site_fract_x
_atom_site_fract_y
_atom_site_fract_z
La1 0.2452 0.0000 0.2550
La2 0.2461 0.1700 0.7466
Pd1 0.0000 0.5000 0.0000
S1 0.0000 0.0000 0.5000
S2 0.0000 0.1662 0.0000
S3 0.0000 0.3338 0.5000
```

Peak list (10 most intense, 5 to 70 degrees two-theta, sorted by position)
| 2θ (°) | I/Imax | (hkl) |
| --- | --- | --- |
| 26.06 | 12 | 2 0 0 |
| 26.09 | 35 | 0 0 2 |
| 29.78 | 1 | 0 2 2 |
| 30.21 | 100 | 1 3 1 |
| 43.25 | 73 | 2 0 2 |
| 51.21 | 23 | 3 3 1 |
| 53.67 | 25 | 4 0 0 |
| 62.83 | 12 | 2 6 2 |
| 69.21 | 8 | 4 0 2 |
| 69.26 | 2 | 1 9 -1 |



Record 5
# NaCeY
Computed X-ray diffraction stick pattern, Cu Kα (λ = 1.5418 Å). Input: DFT lattice parameters and positions (GGA-PBE).
Lines closer than 0.1° are merged.

Crystal structure
```
data_NaCeY
_chemical_formula_sum 'Na2 Ce2 Y2'
_cell_length_a 3.8613
_cell_length_b 3.8613
_cell_length_c 13.4992
_cell_angle_alpha 90.00
_cell_angle_beta 90.00
_cell_angle_gamma 90.00
_space_group_name_H-M_alt 'P 4/n m m'
_space_group_IT_number 129
loop_
_space_group_symop_operation_xyz
'x,y,z'
'-x,-y,-z'
'-y+1/2,x,z'
'y+1/2,-x,-z'
'-x+1/2,-y+1/2,z'
'x+1/2,y+1/2,-z'
'y,-x+1/2,z'
'-y,x+1/2,-z'
'x+1/2,-y,-z'
'-x+1/2,y,z'
'-y,-x,-z'
'y,x,z'
'-x,y+1/2,-z'
'x,-y+1/2,z'
'y+1/2,x+1/2,-z'
'-y+1/2,-x+1/2,z'
loop_
_atom_site_label
_atom_site_fract_x
_atom_site_fract_y
_atom_site_fract_z
Na1 0.2500 0.2500 0.0850
Ce1 0.2500 0.7500 0.5000
Y1 0.2500 0.2500 0.7268
```

Peak list (10 most intense, 5 to 70 degrees two-theta, sorted by position)
| 2θ (°) | I/Imax | (hkl) |
| --- | --- | --- |
| 6.55 | 100 | 0 0 1 |
| 23.97 | 8 | 1 0 1 |
| 26.41 | 11 | 0 0 4 |
| 30.51 | 8 | 1 0 3 |
| 33.18 | 7 | 0 0 5 |
| 33.48 | 12 | 1 1 1 |
| 35.47 | 23 | 1 1 2 |
| 38.57 | 12 | 1 1 3 |
| 47.07 | 7 | 2 0 0 |
| 52.72 | 8 | 1 1 6 |



Record 6
# Pu4Hg4Bi5
Computed X-ray diffraction stick pattern, Cu Kα (λ = 1.5418 Å). Input: DFT lattice parameters and positions (GGA-PBE).
Lines closer than 0.1° are merged.

Crystal structure
```
data_Pu4Hg4Bi5
_chemical_formula_sum 'Pu8 Hg8 Bi10'
_cell_length_a 12.4573
_cell_length_b 12.4573
_cell_length_c 4.6696
_cell_angle_alpha 90.00
_cell_angle_beta 90.00
_cell_angle_gamma 90.00
_space_group_name_H-M_alt 'I 4/m'
_space_group_IT_number 87
_space_group_name_Hall '-I 4'
loop_
_atom_site_label
_atom_site_fract_x
_atom_site_fract_y
_atom_site_fract_z
Pu1 0.1390 0.2217 0.0000
Hg1 0.0820 0.6057 0.0000
Bi1 0.0000 0.0000 0.0000
Bi2 0.0484 0.7917 0.5000
```

Peak list (10 most intense, 5 to 70 degrees two-theta, sorted by position)
| 2θ (°) | I/Imax | (hkl) |
| --- | --- | --- |
| 32.23 | 100 | 2 3 1 |
| 36.79 | 32 | 5 1 0 |
| 38.56 | 16 | 0 0 2 |
| 51.90 | 1 | 5 5 0 |
| 53.01 | 11 | 4 6 0 |
| 54.35 | 22 | 5 1 2 |
| 63.41 | 24 | 7 4 1 |
| 65.81 | 13 | 2 3 3 |
| 67.26 | 2 | 8 3 1 |
| 67.44 | 10 | 4 6 2 |



Record 7
# Sr4Bi7Pb5
Computed X-ray diffraction stick pattern, Cu Kα (λ = 1.5418 Å). Input: DFT lattice parameters and positions (GGA-PBE).
Lines closer than 0.1° are merged.

Crystal structure
```
data_Sr4Bi7Pb5
_chemical_formula_sum 'Sr8 Bi14 Pb10'
_cell_length_a 6.8916
_cell_length_b 6.8916
_cell_length_c 22.4666
_cell_angle_alpha 90.00
_cell_angle_beta 90.00
_cell_angle_gamma 90.00
_space_group_name_H-M_alt 'I -4 2 m'
_space_group_IT_number 121
_space_group_name_Hall 'I -4 2'
loop_
_atom_site_label
_atom_site_fract_x
_atom_site_fract_y
_atom_site_fract_z
Sr1 0.2374 0.2374 0.1181
Bi1 0.0000 0.0000 0.0000
Bi2 0.0000 0.5000 0.0000
Bi3 0.2351 0.2351 0.3642
Pb1 0.0000 0.0000 0.2525
Pb2 0.0000 0.0000 0.5000
Pb3 0.0000 0.5000 0.2500
```

Peak list (10 most intense, 5 to 70 degrees two-theta, sorted by position)
| 2θ (°) | I/Imax | (hkl) |
| --- | --- | --- |
| 15.78 | 4 | 0 0 4 |
| 19.86 | 7 | 1 1 2 |
| 30.43 | 100 | 2 0 4 |
| 31.87 | 21 | 0 0 8 |
| 36.89 | 33 | 2 2 0 |
| 49.53 | 24 | 2 2 8 |
| 53.17 | 12 | 4 0 0 |
| 55.89 | 16 | 2 0 12 |
| 62.50 | 27 | 4 2 4 |
| 63.33 | 12 | 4 0 8 |



Record 8
# CsVZn
Computed X-ray diffraction stick pattern, Cu Kα (λ = 1.5418 Å). Input: DFT lattice parameters and positions (GGA-PBE).
Lines closer than 0.1° are merged.

Crystal structure
```
data_CsVZn
_chemical_formula_sum 'Cs2 V2 Zn2'
_cell_length_a 4.2235
_cell_length_b 4.2251
_cell_length_c 12.9775
_cell_angle_alpha 90.45
_cell_angle_beta 98.60
_cell_angle_gamma 119.18
_space_group_name_H-M_alt 'P 1'
_space_group_IT_number 1
_space_group_name_Hall 'P 1'
loop_
_atom_site_label
_atom_site_fract_x
_atom_site_fract_y
_atom_site_fract_z
Cs1 0.0000 0.0000 0.0000
Cs2 0.3790 0.1992 0.6128
V1 0.1774 0.1083 0.3065
V2 0.8642 0.4211 0.3064
Zn1 0.4609 0.7319 0.2081
Zn2 0.5827 0.7958 0.4049
```

Peak list (10 most intense, 5 to 70 degrees two-theta, sorted by position)
| 2θ (°) | I/Imax | (hkl) |
| --- | --- | --- |
| 6.92 | 100 | 0 0 1 |
| 20.86 | 42 | 0 0 3 |
| 24.26 | 21 | 0 1 0 |
| 26.04 | 35 | 1 0 -2 |
| 26.68 | 20 | 1 0 1 |
| 27.22 | 19 | -1 1 2 |
| 33.72 | 32 | 0 1 3 |
| 35.16 | 23 | 1 0 3 |
| 42.27 | 19 | 1 1 -1 |
| 42.82 | 39 | 1 -2 0 |